# 1
Diffraction record for Cu3Ge. The powder diffractogram is computed, not measured: it uses DFT lattice parameters and positions (GGA-PBE) and Cu Kα, 1.54184 Å.
Intensities are scaled so that the largest is 100.

Most intense lines, 2θ = 10–90°, in order of rising 2θ:
(1 0 0), 2θ 38.1, d 2.363, rel. 26; (0 0 4), 2θ 43.8, d 2.067, rel. 22; (1 0 2), 2θ 44.1, d 2.051, rel. 100; (1 0 4), 2θ 59.4, d 1.556, rel. 13; (1 1 0), 2θ 68.8, d 1.364, rel. 16; (1 0 5), 2θ 69.4, d 1.355, rel. 1; (1 0 6), 2θ 80.7, d 1.191, rel. 15; (2 0 0), 2θ 81.5, d 1.181, rel. 3; (1 1 4), 2θ 85.2, d 1.139, rel. 17; (2 0 2), 2θ 85.5, d 1.136, rel. 13

```
data_Cu3Ge
_chemical_formula_sum 'Cu3 Ge1'
_space_group_name_H-M_alt 'P -6 m 2'
_space_group_IT_number 187
_space_group_name_Hall 'P -6 2'
_cell_length_a 2.7284
_cell_length_b 2.7284
_cell_length_c 8.2695
_cell_angle_alpha 90.00
_cell_angle_beta 90.00
_cell_angle_gamma 120.00
loop_
_atom_site_label
_atom_site_type_symbol
_atom_site_fract_x
_atom_site_fract_y
_atom_site_fract_z
_atom_site_occupancy
Cu1 Cu 0.0000 0.0000 0.0000 1
Cu2 Cu 0.6667 0.3333 0.2423 1
Ge1 Ge 0.0000 0.0000 0.5000 1
```

---

# 2
Diffraction record for Na2InSnP3O12. The powder diffractogram is computed, not measured: it uses DFT lattice parameters and positions (GGA-PBE) and Cu Kα, 1.54184 Å.
Intensities are scaled so that the largest is 100.

Most intense lines, 2θ = 10–90°, in order of rising 2θ:
(2 0 0), 2θ 13.8, d 6.403, rel. 28; (1 1 1), 2θ 19.3, d 4.597, rel. 75; (3 1 -1), 2θ 19.9, d 4.461, rel. 55; (0 2 0), 2θ 20.0, d 4.436, rel. 32; (3 1 -2), 2θ 23.1, d 3.852, rel. 27; (2 2 -2), 2θ 27.9, d 3.199, rel. 46; (3 1 -3), 2θ 30.8, d 2.899, rel. 100; (6 0 -2), 2θ 34.8, d 2.580, rel. 16; (3 3 -1), 2θ 35.0, d 2.566, rel. 31; (6 2 -4), 2θ 47.2, d 1.926, rel. 22

```
data_Na2InSnP3O12
_chemical_formula_sum 'Na8 In4 Sn4 P12 O48'
_space_group_name_H-M_alt 'C 1 c 1'
_space_group_IT_number 9
_space_group_name_Hall 'C -2yc'
_cell_length_a 15.4824
_cell_length_b 8.8726
_cell_length_c 9.2193
_cell_angle_alpha 90.00
_cell_angle_beta 124.07
_cell_angle_gamma 90.00
loop_
_atom_site_label
_atom_site_type_symbol
_atom_site_fract_x
_atom_site_fract_y
_atom_site_fract_z
_atom_site_occupancy
Na1 Na 0.0000 0.1137 0.0000 1
Na2 Na 0.2528 0.2496 0.2529 1
In1 In 0.3971 0.2453 0.6947 1
Sn1 Sn 0.1050 0.2544 0.8009 1
P1 P 0.0022 0.4549 0.9968 1
P2 P 0.1464 0.1025 0.4926 1
P3 P 0.3545 0.3945 0.0003 1
O1 O 0.0513 0.1674 0.3247 1
O2 O 0.0748 0.4490 0.6638 1
O3 O 0.0796 0.3512 0.9821 1
O4 O 0.1404 0.1225 0.6563 1
O5 O 0.1460 0.0750 0.9803 1
O6 O 0.2424 0.1712 0.5119 1
O7 O 0.2583 0.3190 0.9827 1
O8 O 0.3532 0.4328 0.5169 1
O9 O 0.3593 0.3739 0.8405 1
O10 O 0.4303 0.1525 0.5143 1
O11 O 0.4321 0.0480 0.8337 1
O12 O 0.4510 0.3240 0.1712 1
```

---

# 3
Diffraction record for Ca2GdSbO6. The powder diffractogram is computed, not measured: it uses DFT lattice parameters and positions (GGA-PBE) and Cu Kα, 1.54184 Å.
Intensities are scaled so that the largest is 100.

Most intense lines, 2θ = 10–90°, in order of rising 2θ:
(2 0 0), 2θ 21.2, d 4.189, rel. 57; (2 2 0), 2θ 30.2, d 2.962, rel. 100; (4 0 0), 2θ 43.2, d 2.095, rel. 35; (4 2 0), 2θ 48.6, d 1.874, rel. 25; (4 2 2), 2θ 53.6, d 1.710, rel. 39; (4 4 0), 2θ 62.7, d 1.481, rel. 21; (6 0 0), 2θ 67.0, d 1.396, rel. 12; (6 2 0), 2θ 71.2, d 1.325, rel. 17; (4 4 4), 2θ 79.2, d 1.209, rel. 7; (6 4 2), 2θ 87.0, d 1.120, rel. 21

```
data_Ca2GdSbO6
_chemical_formula_sum 'Ca8 Gd4 Sb4 O24'
_space_group_name_H-M_alt 'F m -3 m'
_space_group_IT_number 225
_space_group_name_Hall '-F 4 2 3'
_cell_length_a 8.3789
_cell_length_b 8.3789
_cell_length_c 8.3789
_cell_angle_alpha 90.00
_cell_angle_beta 90.00
_cell_angle_gamma 90.00
loop_
_atom_site_label
_atom_site_type_symbol
_atom_site_fract_x
_atom_site_fract_y
_atom_site_fract_z
_atom_site_occupancy
Ca1 Ca 0.2500 0.2500 0.2500 1
Gd1 Gd 0.0000 0.0000 0.0000 1
Sb1 Sb 0.0000 0.0000 0.5000 1
O1 O 0.0000 0.0000 0.2638 1
```

---

# 4
Diffraction record for Ce2Si3Rh. The powder diffractogram is computed, not measured: it uses DFT lattice parameters and positions (GGA-PBE) and Cu Kα, 1.54184 Å.
Intensities are scaled so that the largest is 100.

Most intense lines, 2θ = 10–90°, in order of rising 2θ:
(0 0 1), 2θ 21.7, d 4.101, rel. 8; (2 0 0), 2θ 25.1, d 3.551, rel. 26; (1 1 1), 2θ 30.8, d 2.901, rel. 5; (2 0 1), 2θ 33.4, d 2.685, rel. 100; (2 2 0), 2θ 44.2, d 2.051, rel. 49; (4 0 0), 2θ 51.4, d 1.776, rel. 11; (4 0 1), 2θ 56.5, d 1.629, rel. 22; (2 2 2), 2θ 64.2, d 1.450, rel. 24; (4 2 1), 2θ 74.3, d 1.276, rel. 29; (6 0 0), 2θ 81.3, d 1.183, rel. 6

```
data_Ce2Si3Rh
_chemical_formula_sum 'Ce4 Si6 Rh2'
_space_group_name_H-M_alt 'P 6/m m m'
_space_group_IT_number 191
_space_group_name_Hall '-P 6 2'
_cell_length_a 8.1993
_cell_length_b 8.1993
_cell_length_c 4.1055
_cell_angle_alpha 90.00
_cell_angle_beta 90.00
_cell_angle_gamma 120.00
loop_
_atom_site_label
_atom_site_type_symbol
_atom_site_fract_x
_atom_site_fract_y
_atom_site_fract_z
_atom_site_occupancy
Ce1 Ce 0.0000 0.0000 0.0000 1
Ce2 Ce 0.0000 0.5000 0.0000 1
Si1 Si 0.1654 0.3308 0.5000 1
Rh1 Rh 0.3333 0.6667 0.5000 1
```

---

# 5
Diffraction record for Mo6PbS8. The powder diffractogram is computed, not measured: it uses DFT lattice parameters and positions (GGA-PBE) and Cu Kα, 1.54184 Å.
Intensities are scaled so that the largest is 100.

Most intense lines, 2θ = 10–90°, in order of rising 2θ:
(0 1 0), 2θ 13.3, d 6.675, rel. 53; (1 -1 0), 2θ 18.8, d 4.709, rel. 100; (1 0 1), 2θ 19.0, d 4.683, rel. 99; (1 -1 1), 2θ 23.0, d 3.859, rel. 71; (0 1 2), 2θ 30.0, d 2.974, rel. 62; (1 2 0), 2θ 30.3, d 2.950, rel. 84; (-2 1 2), 2θ 40.6, d 2.220, rel. 85; (2 2 -1), 2θ 41.1, d 2.197, rel. 90; (1 -3 0), 2θ 42.8, d 2.115, rel. 60; (1 1 3), 2θ 45.3, d 2.002, rel. 67

```
data_Mo6PbS8
_chemical_formula_sum 'Mo6 Pb1 S8'
_space_group_name_H-M_alt 'P -1'
_space_group_IT_number 2
_space_group_name_Hall '-P 1'
_cell_length_a 6.5661
_cell_length_b 6.6605
_cell_length_c 6.6915
_cell_angle_alpha 90.64
_cell_angle_beta 90.29
_cell_angle_gamma 91.06
loop_
_atom_site_label
_atom_site_type_symbol
_atom_site_fract_x
_atom_site_fract_y
_atom_site_fract_z
_atom_site_occupancy
Mo1 Mo 0.0626 0.0807 0.2274 1
Mo2 Mo 0.0822 0.7281 0.4384 1
Mo3 Mo 0.2643 0.0611 0.5801 1
Pb1 Pb 0.5000 0.5000 0.0000 1
S1 S 0.1201 0.2383 0.8732 1
S2 S 0.2356 0.3728 0.3765 1
S3 S 0.2508 0.7426 0.7550 1
S4 S 0.3721 0.8790 0.2615 1
```

---

# 6
Diffraction record for Re3Br7. The powder diffractogram is computed, not measured: it uses DFT lattice parameters and positions (GGA-PBE) and Cu Kα, 1.54184 Å.
Intensities are scaled so that the largest is 100.

Most intense lines, 2θ = 10–90°, in order of rising 2θ:
(0 1 1), 2θ 10.9, d 8.145, rel. 100; (-1 1 1), 2θ 12.0, d 7.384, rel. 75; (0 0 2), 2θ 12.2, d 7.254, rel. 66; (1 -1 1), 2θ 13.2, d 6.724, rel. 19; (1 0 -2), 2θ 13.5, d 6.567, rel. 34; (1 1 -1), 2θ 13.7, d 6.452, rel. 29; (0 3 -1), 2θ 25.6, d 3.479, rel. 16; (0 3 -3), 2θ 30.1, d 2.974, rel. 18; (0 4 -2), 2θ 35.2, d 2.547, rel. 28; (4 0 -1), 2θ 36.1, d 2.491, rel. 28

```
data_Re3Br7
_chemical_formula_sum 'Re12 Br28'
_space_group_name_H-M_alt 'P -1'
_space_group_IT_number 2
_space_group_name_Hall '-P 1'
_cell_length_a 10.1870
_cell_length_b 10.7662
_cell_length_c 14.9083
_cell_angle_alpha 92.84
_cell_angle_beta 102.16
_cell_angle_gamma 101.51
loop_
_atom_site_label
_atom_site_type_symbol
_atom_site_fract_x
_atom_site_fract_y
_atom_site_fract_z
_atom_site_occupancy
Re1 Re 0.0655 0.1345 0.2841 1
Re2 Re 0.0661 0.3364 0.2388 1
Re3 Re 0.1679 0.8233 0.6827 1
Re4 Re 0.1686 0.6109 0.7272 1
Re5 Re 0.1769 0.7543 0.8830 1
Re6 Re 0.1789 0.9576 0.8387 1
Br1 Br 0.0446 0.1917 0.4457 1
Br2 Br 0.0480 0.2928 0.0698 1
Br3 Br 0.0497 0.0077 0.1331 1
Br4 Br 0.0669 0.4837 0.3787 1
Br5 Br 0.0931 0.4507 0.8390 1
Br6 Br 0.1054 0.1061 0.6969 1
Br7 Br 0.2820 0.7640 0.0501 1
Br8 Br 0.2827 0.8578 0.5510 1
Br9 Br 0.2868 0.5132 0.6259 1
Br10 Br 0.3045 0.1070 0.3395 1
Br11 Br 0.3036 0.1158 0.9715 1
Br12 Br 0.3050 0.4533 0.2477 1
Br13 Br 0.3897 0.6837 0.8527 1
Br14 Br 0.3909 0.9669 0.7734 1
```

---

# 7
Diffraction record for K2PrAgBr6. The powder diffractogram is computed, not measured: it uses DFT lattice parameters and positions (GGA-PBE) and Cu Kα, 1.54184 Å.
Intensities are scaled so that the largest is 100.

Most intense lines, 2θ = 10–90°, in order of rising 2θ:
(2 0 0), 2θ 15.4, d 5.750, rel. 89; (2 2 0), 2θ 21.9, d 4.066, rel. 21; (2 2 2), 2θ 26.9, d 3.320, rel. 30; (4 0 0), 2θ 31.1, d 2.875, rel. 100; (4 2 0), 2θ 34.9, d 2.571, rel. 48; (4 4 0), 2θ 44.6, d 2.033, rel. 72; (6 0 0), 2θ 47.4, d 1.917, rel. 26; (4 4 4), 2θ 55.3, d 1.660, rel. 25; (8 4 0), 2θ 73.7, d 1.286, rel. 31; (8 4 4), 2θ 82.1, d 1.174, rel. 23

```
data_K2PrAgBr6
_chemical_formula_sum 'K8 Pr4 Ag4 Br24'
_space_group_name_H-M_alt 'F m -3 m'
_space_group_IT_number 225
_space_group_name_Hall '-F 4 2 3'
_cell_length_a 11.5001
_cell_length_b 11.5001
_cell_length_c 11.5001
_cell_angle_alpha 90.00
_cell_angle_beta 90.00
_cell_angle_gamma 90.00
loop_
_atom_site_label
_atom_site_type_symbol
_atom_site_fract_x
_atom_site_fract_y
_atom_site_fract_z
_atom_site_occupancy
K1 K 0.2500 0.2500 0.2500 1
Pr1 Pr 0.0000 0.0000 0.0000 1
Ag1 Ag 0.0000 0.0000 0.5000 1
Br1 Br 0.0000 0.0000 0.2517 1
```